(1)
Computed powder diffraction line list of YMg5Sc4 for Cu Kα X-rays, from a crystal structure in Alexandria, relaxed with PBE.

a b c (Å): 3.6282 3.6282 18.2975
angles (deg): 90.00 90.00 90.00
Element x y z (fractional)
Y 0.0000 0.0000 0.0000
Mg 0.5000 0.5000 0.1117
Mg 0.5000 0.5000 0.3051
Mg 0.5000 0.5000 0.5000
Mg 0.5000 0.5000 0.6949
Mg 0.5000 0.5000 0.8883
Sc 0.0000 0.0000 0.2079
Sc 0.0000 0.0000 0.4028
Sc 0.0000 0.0000 0.5972
Sc 0.0000 0.0000 0.7921

Main lines, low angle first (2θ from 10° to 80°):
2θ 24.32, rel. 9
2θ 24.54, rel. 17
2θ 34.82, rel. 100
2θ 34.97, rel. 51
2θ 43.06, rel. 7
2θ 49.83, rel. 8
2θ 50.30, rel. 17
2θ 62.33, rel. 15
2θ 62.63, rel. 33
2θ 73.51, rel. 9

(2)
Computed powder diffraction line list of MgZn3Ag7 for Cu Kα X-rays, from a crystal structure in Alexandria, relaxed with PBE.

a b c (Å): 6.8205 6.8205 4.9911
angles (deg): 110.38 110.38 90.35
Element x y z (fractional)
Mg 0.0000 0.0000 0.0000
Zn 0.2687 0.7313 0.5000
Zn 0.5000 0.5000 0.0000
Zn 0.7313 0.2687 0.5000
Ag 0.0000 0.0000 0.5000
Ag 0.0995 0.5491 0.8221
Ag 0.3233 0.3233 0.3529
Ag 0.4509 0.9005 0.1779
Ag 0.5491 0.0995 0.8221
Ag 0.6767 0.6767 0.6471
Ag 0.9005 0.4509 0.1779

Main lines, low angle first (2θ from 10° to 80°):
2θ 29.74, rel. 27
2θ 33.46, rel. 28
2θ 36.00, rel. 100
2θ 37.17, rel. 76
2θ 39.36, rel. 28
2θ 39.94, rel. 36
2θ 41.12, rel. 79
2θ 41.97, rel. 72
2θ 52.71, rel. 51
2θ 67.60, rel. 16

(3)
Computed powder diffraction line list of SrCa2RuN4 for Cu Kα X-rays, from a crystal structure in Alexandria, relaxed with PBE.

a b c (Å): 7.8266 6.5444 5.5341
angles (deg): 90.00 90.00 90.00
Element x y z (fractional)
Sr 0.0000 0.1451 0.0000
Sr 0.5000 0.8549 0.5000
Ca 0.2442 0.3291 0.5097
Ca 0.2558 0.6709 0.0097
Ca 0.7442 0.6709 0.0097
Ca 0.7558 0.3291 0.5097
Ru 0.0000 0.8164 0.5376
Ru 0.5000 0.1836 0.0376
N 0.0000 0.1040 0.4868
N 0.0000 0.7897 0.8756
N 0.2030 0.6859 0.4428
N 0.2970 0.3141 0.9428
N 0.5000 0.2103 0.3756
N 0.5000 0.8960 0.9868
N 0.7030 0.3141 0.9428
N 0.7970 0.6859 0.4428

Main lines, low angle first (2θ from 10° to 80°):
2θ 21.02, rel. 29
2θ 26.54, rel. 48
2θ 27.25, rel. 24
2θ 31.15, rel. 100
2θ 31.77, rel. 45
2θ 32.35, rel. 50
2θ 42.32, rel. 22
2θ 47.73, rel. 31
2θ 57.34, rel. 27
2θ 58.85, rel. 35

(4)
Computed powder diffraction line list of LiSi3BiO8 for Cu Kα X-rays, from a crystal structure in Alexandria, relaxed with PBE.

a b c (Å): 7.1613 7.4509 7.9058
angles (deg): 112.46 106.88 99.05
Element x y z (fractional)
Li 0.0000 0.0000 0.0000
Li 0.4736 0.6043 0.0030
Si 0.0433 0.1995 0.7194
Si 0.2891 0.6175 0.6011
Si 0.3196 0.8158 0.3308
Si 0.4305 0.2392 0.3464
Si 0.8807 0.2509 0.3629
Si 0.8826 0.5573 0.9513
Bi 0.5071 0.1480 0.9167
Bi 0.7754 0.6916 0.5410
O 0.0389 0.4906 0.4916
O 0.0989 0.6996 0.1454
O 0.2883 0.3039 0.8214
O 0.3017 0.7991 0.5288
O 0.3283 0.1646 0.1107
O 0.3608 0.0640 0.4074
O 0.3850 0.7333 0.8350
O 0.3997 0.4549 0.4853
O 0.5097 0.7392 0.2957
O 0.6801 0.3078 0.4092
O 0.7032 0.4791 0.0190
O 0.8322 0.1468 0.1314
O 0.8336 0.6980 0.8353
O 0.9210 0.3547 0.8053
O 0.9629 0.1207 0.4763
O 0.9678 0.9967 0.7457

Main lines, low angle first (2θ from 10° to 80°):
2θ 13.56, rel. 41
2θ 13.93, rel. 100
2θ 15.98, rel. 40
2θ 18.81, rel. 51
2θ 21.31, rel. 40
2θ 24.62, rel. 54
2θ 26.43, rel. 39
2θ 26.55, rel. 47
2θ 27.18, rel. 57
2θ 34.16, rel. 49

(5)
Computed powder diffraction line list of PrHoTl for Cu Kα X-rays, from a crystal structure in Alexandria, relaxed with PBE.

a b c (Å): 4.7540 4.7540 8.4013
angles (deg): 90.00 90.00 90.00
Element x y z (fractional)
Pr 0.2500 0.2500 0.1477
Pr 0.7500 0.7500 0.8523
Ho 0.2500 0.7500 0.5000
Ho 0.7500 0.2500 0.5000
Tl 0.2500 0.2500 0.7613
Tl 0.7500 0.7500 0.2387

Main lines, low angle first (2θ from 10° to 80°):
2θ 26.52, rel. 19
2θ 28.60, rel. 68
2θ 31.96, rel. 21
2θ 34.16, rel. 100
2θ 37.27, rel. 30
2θ 37.85, rel. 60
2θ 50.35, rel. 24
2θ 54.16, rel. 20
2θ 54.60, rel. 22
2θ 66.00, rel. 30

(6)
Computed powder diffraction line list of La3Ni5 for Cu Kα X-rays, from a crystal structure in Alexandria, relaxed with PBE.

a b c (Å): 9.0721 9.0721 4.5285
angles (deg): 90.00 90.00 120.00
Element x y z (fractional)
La 0.0000 0.3569 0.2500
La 0.0000 0.6431 0.7500
La 0.3569 0.0000 0.2500
La 0.3569 0.3569 0.7500
La 0.6431 0.0000 0.7500
La 0.6431 0.6431 0.2500
Ni 0.0000 0.1537 0.7500
Ni 0.0000 0.8463 0.2500
Ni 0.1537 0.0000 0.7500
Ni 0.1537 0.1537 0.2500
Ni 0.3333 0.6667 0.0000
Ni 0.3333 0.6667 0.5000
Ni 0.6667 0.3333 0.0000
Ni 0.6667 0.3333 0.5000
Ni 0.8463 0.0000 0.2500
Ni 0.8463 0.8463 0.7500

Main lines, low angle first (2θ from 10° to 80°):
2θ 27.84, rel. 100
2θ 34.24, rel. 66
2θ 36.17, rel. 37
2θ 39.80, rel. 21
2θ 41.46, rel. 30
2θ 44.70, rel. 97
2θ 57.50, rel. 38
2θ 68.67, rel. 16
2θ 72.14, rel. 13
2θ 75.68, rel. 15